Computed powder diffraction line list of Tb3Er7Mg for Cu Kα, 1.54184 Å, from a crystal structure in Alexandria, relaxed with GGA-PBE.

Principal peaks in the range 10° ≤ 2θ ≤ 90°, by angle:
Position (°2θ), d_spacing, Rel. int., index
18.10, 4.902, 11, 1 0 1
25.70, 3.466, 9, 0 1 2
31.61, 2.830, 100, 0 2 1
36.66, 2.451, 51, 2 0 2
41.18, 2.192, 6, 2 1 1
52.82, 1.733, 35, 2 2 0
62.88, 1.478, 42, 4 0 1
66.02, 1.415, 12, 0 4 2
77.96, 1.226, 6, 4 0 4
86.50, 1.125, 9, 0 4 5
86.60, 1.124, 9, 2 4 1
89.38, 1.096, 17, 4 2 2

Structure:
abc: 6.9294 6.9294 8.4989
angles: 90.00 90.00 120.00
Sites, in units of the cell vectors:
Tb 0.1684 0.3367 0.0000
Tb 0.1684 0.8316 0.0000
Tb 0.6633 0.8316 0.0000
Er 0.0054 0.5027 0.6599
Er 0.3327 0.1664 0.3350
Er 0.3333 0.6667 0.3310
Er 0.4973 0.5027 0.6599
Er 0.4973 0.9946 0.6599
Er 0.8336 0.1664 0.3350
Er 0.8336 0.6673 0.3350
Mg 0.0000 0.0000 0.6591